No. 1
The following is a computed X-ray powder pattern of Mg14TiCr. It was derived from a cell relaxed with GGA-PBE, using Cu Kα (weighted mean of Kα1 and Kα2).
Neutral-atom scattering factors, no anomalous dispersion.

Crystal structure
```
data_Mg14TiCr
_symmetry_space_group_name_H-M 'P -6 m 2'
_symmetry_Int_Tables_number 187
_symmetry_space_group_name_Hall 'P -6 2'
_cell_length_a 6.3239
_cell_length_b 6.3239
_cell_length_c 10.1098
_cell_angle_alpha 90.00
_cell_angle_beta 90.00
_cell_angle_gamma 120.00
loop_
_atom_site_label
_atom_site_type_symbol
_atom_site_fract_x
_atom_site_fract_y
_atom_site_fract_z
_atom_site_occupancy
Mg1 Mg 0.0000 0.0000 0.2485 1
Mg2 Mg 0.0094 0.5047 0.2502 1
Mg3 Mg 0.3341 0.1671 0.5000 1
Mg4 Mg 0.3370 0.1685 0.0000 1
Ti1 Ti 0.3333 0.6667 0.0000 1
Cr1 Cr 0.3333 0.6667 0.5000 1
```

Peak list (8 most intense, 10° ≤ 2θ ≤ 80°, sorted by position)
2θ 32.70, I 25.1; 2θ 35.52, I 25.6; 2θ 37.35, I 100.0; 2θ 49.05, I 15.1; 2θ 58.37, I 16.7; 2θ 64.99, I 17.8; 2θ 70.22, I 18.4; 2θ 71.37, I 13.1

No. 2
The following is a computed X-ray powder pattern of Rb2SiP4O13. It was derived from a cell relaxed with GGA-PBE, using Cu Kα (weighted mean of Kα1 and Kα2).
Neutral-atom scattering factors, no anomalous dispersion.

Crystal structure
```
data_Rb2SiP4O13
_symmetry_space_group_name_H-M 'P -1'
_symmetry_Int_Tables_number 2
_symmetry_space_group_name_Hall '-P 1'
_cell_length_a 4.928
_cell_length_b 7.879
_cell_length_c 15.463
_cell_angle_alpha 83.86
_cell_angle_beta 83.67
_cell_angle_gamma 81.83
loop_
_atom_site_label
_atom_site_type_symbol
_atom_site_fract_x
_atom_site_fract_y
_atom_site_fract_z
_atom_site_occupancy
Rb1 Rb 0.178 0.243 0.489 1
Rb2 Rb 0.225 0.197 0.972 1
Si1 Si 0.045 0.443 0.242 1
P1 P 0.172 0.902 0.694 1
P2 P 0.183 0.819 0.211 1
P3 P 0.393 0.706 0.850 1
P4 P 0.480 0.589 0.337 1
O1 O 0.012 0.091 0.712 1
O2 O 0.041 0.225 0.289 1
O3 O 0.049 0.662 0.194 1
O4 O 0.210 0.482 0.672 1
O5 O 0.216 0.571 0.827 1
O6 O 0.238 0.937 0.132 1
O7 O 0.299 0.371 0.157 1
O8 O 0.306 0.456 0.311 1
O9 O 0.306 0.777 0.936 1
O10 O 0.317 0.919 0.605 1
O11 O 0.370 0.862 0.771 1
O12 O 0.384 0.653 0.423 1
O13 O 0.454 0.749 0.258 1
```

Peak list (8 most intense, 10° ≤ 2θ ≤ 80°, sorted by position)
2θ 21.91, I 26.6; 2θ 22.89, I 34.2; 2θ 23.25, I 23.9; 2θ 24.77, I 45.1; 2θ 26.00, I 82.5; 2θ 26.69, I 68.7; 2θ 28.27, I 100.0; 2θ 37.77, I 23.0

No. 3
The following is a computed X-ray powder pattern of CsMg14Zn. It was derived from a cell relaxed with GGA-PBE, using Cu Kα (weighted mean of Kα1 and Kα2).
Neutral-atom scattering factors, no anomalous dispersion.

Crystal structure
```
data_CsMg14Zn
_symmetry_space_group_name_H-M 'P -6 m 2'
_symmetry_Int_Tables_number 187
_symmetry_space_group_name_Hall 'P -6 2'
_cell_length_a 6.5401
_cell_length_b 6.5401
_cell_length_c 10.7307
_cell_angle_alpha 90.00
_cell_angle_beta 90.00
_cell_angle_gamma 120.00
loop_
_atom_site_label
_atom_site_type_symbol
_atom_site_fract_x
_atom_site_fract_y
_atom_site_fract_z
_atom_site_occupancy
Cs1 Cs 0.0000 0.0000 0.0000 1
Mg1 Mg 0.0056 0.5028 0.0000 1
Mg2 Mg 0.1697 0.3395 0.2738 1
Mg3 Mg 0.5035 0.0069 0.5000 1
Mg4 Mg 0.6667 0.3333 0.2468 1
Zn1 Zn 0.0000 0.0000 0.5000 1
```

Peak list (8 most intense, 10° ≤ 2θ ≤ 80°, sorted by position)
2θ 15.65, I 33.8; 2θ 22.83, I 31.9; 2θ 31.59, I 28.6; 2θ 33.40, I 24.5; 2θ 35.86, I 100.0; 2θ 46.64, I 18.6; 2θ 56.26, I 17.3; 2θ 67.03, I 18.0

No. 4
The following is a computed X-ray powder pattern of TlSb. It was derived from a cell relaxed with GGA-PBE, using Cu Kα (weighted mean of Kα1 and Kα2).
Neutral-atom scattering factors, no anomalous dispersion.

Crystal structure
```
data_TlSb
_symmetry_space_group_name_H-M 'P m -3 m'
_symmetry_Int_Tables_number 221
_symmetry_space_group_name_Hall '-P 4 2 3'
_cell_length_a 3.901
_cell_length_b 3.901
_cell_length_c 3.901
_cell_angle_alpha 90.00
_cell_angle_beta 90.00
_cell_angle_gamma 90.00
loop_
_atom_site_label
_atom_site_type_symbol
_atom_site_fract_x
_atom_site_fract_y
_atom_site_fract_z
_atom_site_occupancy
Tl1 Tl 0.000 0.000 0.000 1
Sb1 Sb 0.500 0.500 0.500 1
```

Peak list (8 most intense, 10° ≤ 2θ ≤ 80°, sorted by position)
2θ 22.80, I 6.9; 2θ 32.46, I 100.0; 2θ 40.04, I 2.3; 2θ 46.57, I 18.4; 2θ 52.46, I 3.4; 2θ 57.91, I 38.6; 2θ 67.98, I 12.0; 2θ 77.36, I 16.7

No. 5
The following is a computed X-ray powder pattern of YTh. It was derived from a cell relaxed with GGA-PBE, using Cu Kα (weighted mean of Kα1 and Kα2).
Neutral-atom scattering factors, no anomalous dispersion.

Crystal structure
```
data_YTh
_symmetry_space_group_name_H-M 'R -3 m'
_symmetry_Int_Tables_number 166
_symmetry_space_group_name_Hall '-R 3 2"'
_cell_length_a 3.5622
_cell_length_b 3.5622
_cell_length_c 17.4906
_cell_angle_alpha 90.00
_cell_angle_beta 90.00
_cell_angle_gamma 120.00
loop_
_atom_site_label
_atom_site_type_symbol
_atom_site_fract_x
_atom_site_fract_y
_atom_site_fract_z
_atom_site_occupancy
Y1 Y 0.0000 0.0000 0.0000 1
Th1 Th 0.0000 0.0000 0.5000 1
```

Peak list (8 most intense, 10° ≤ 2θ ≤ 80°, sorted by position)
2θ 15.20, I 21.8; 2θ 29.40, I 14.6; 2θ 30.72, I 100.0; 2θ 35.62, I 50.7; 2θ 51.25, I 36.3; 2θ 60.93, I 32.5; 2θ 61.00, I 10.8; 2θ 64.01, I 9.4